For MnSiHNO, a crystal structure in Alexandria, relaxed with PBE+U gives the calculated powder diffractogram in this record (Cu Kα (λ = 1.5418 Å)).
No peak broadening, texture or thermal motion is included.

Structural model:
a b c (Å): 10.4907 2.8956 5.1155
angles (deg): 90.00 115.41 90.00
Space group Cm (No. 8)
Symmetry-distinct sites (fractional):
Mn: 0.0000 0.0000 0.0000 (multiplicity 2)
Si: 0.1855 0.0000 0.5713 (multiplicity 2)
H: 0.1223 0.0000 0.7948 (multiplicity 2)
N: 0.1243 0.5000 0.3662 (multiplicity 2)
O: 0.3548 0.0000 0.7781 (multiplicity 2)

Principal peaks in the range 2θ = 10–90°, sorted by position:
index, d_spacing, Rel. int.
2 0 0, 4.738, 17
2 0 -1, 4.378, 100
2 0 1, 2.768, 29
1 1 1, 2.254, 22
3 1 -1, 2.195, 13
1 1 -2, 1.895, 17